NdHSO5: calculated powder XRD pattern (a wavelength of 1.5418 Å), based on a cell relaxed with PBE.
Neutral-atom scattering factors, no anomalous dispersion.

Crystal structure
```
data_NdHSO5
_chemical_formula_sum 'Nd4 H4 S4 O20'
_space_group_name_H-M_alt 'P 1 21/c 1'
_space_group_IT_number 14
_space_group_name_Hall '-P 2ybc'
_cell_length_a 4.4542
_cell_length_b 12.3671
_cell_length_c 6.9779
_cell_angle_alpha 90.00
_cell_angle_beta 111.16
_cell_angle_gamma 90.00
loop_
_atom_site_label
_atom_site_fract_x
_atom_site_fract_y
_atom_site_fract_z
Nd1 0.1653 0.0644 0.3030
H1 0.2086 0.6585 0.9717
S1 0.4045 0.1458 0.8865
O1 0.1990 0.0669 0.9503
O2 0.2197 0.2455 0.8150
O3 0.2330 0.5879 0.0401
O4 0.3009 0.6683 0.4374
O5 0.4746 0.0960 0.7138
```

Peak list (10 most intense, 2θ from 15° to 90°, by angle)
- (0 2 1), 19.81°, I 69
- (1 1 0), 22.58°, I 53
- (1 2 -1), 25.35°, I 61
- (1 0 -2), 28.08°, I 100
- (1 1 1), 30.29°, I 82
- (1 3 0), 30.55°, I 68
- (0 4 1), 32.05°, I 87
- (2 1 -1), 41.23°, I 53
- (1 5 0), 42.54°, I 40
- (1 4 -3), 49.51°, I 54

=====

Nd8Sb4H2O: calculated powder XRD pattern (a wavelength of 1.5418 Å), based on a cell relaxed with PBE.
Neutral-atom scattering factors, no anomalous dispersion.

Crystal structure
```
data_Nd8Sb4H2O
_chemical_formula_sum 'Nd16 Sb8 H4 O2'
_space_group_name_H-M_alt 'I 4/m m m'
_space_group_IT_number 139
_space_group_name_Hall '-I 4 2'
_cell_length_a 4.6669
_cell_length_b 4.6669
_cell_length_c 35.1182
_cell_angle_alpha 90.00
_cell_angle_beta 90.00
_cell_angle_gamma 90.00
loop_
_atom_site_label
_atom_site_fract_x
_atom_site_fract_y
_atom_site_fract_z
Nd1 0.0000 0.0000 0.0880
Nd2 0.0000 0.0000 0.3399
Nd3 0.0000 0.5000 0.0000
Nd4 0.0000 0.5000 0.2500
Sb1 0.0000 0.0000 0.1798
Sb2 0.0000 0.0000 0.4317
H1 0.0000 0.0000 0.2716
O1 0.0000 0.0000 0.0000
```

Peak list (10 most intense, 2θ from 15° to 90°, by angle)
- (1 1 0), 27.02°, I 15
- (1 1 4), 28.90°, I 95
- (0 0 12), 30.55°, I 38
- (1 1 8), 33.99°, I 100
- (2 0 0), 38.58°, I 67
- (2 0 12), 49.97°, I 49
- (2 2 0), 55.70°, I 25
- (3 1 4), 63.97°, I 20
- (2 2 12), 64.87°, I 17
- (3 1 8), 66.89°, I 25

=====

NdH3Se3O12: calculated powder XRD pattern (a wavelength of 1.5418 Å), based on a cell relaxed with PBE.
Neutral-atom scattering factors, no anomalous dispersion.

Crystal structure
```
data_NdH3Se3O12
_chemical_formula_sum 'Nd2 H6 Se6 O24'
_space_group_name_H-M_alt 'P 63/m'
_space_group_IT_number 176
_space_group_name_Hall '-P 6c'
_cell_length_a 9.3847
_cell_length_b 9.3847
_cell_length_c 6.1016
_cell_angle_alpha 90.00
_cell_angle_beta 90.00
_cell_angle_gamma 120.00
loop_
_atom_site_label
_atom_site_fract_x
_atom_site_fract_y
_atom_site_fract_z
Nd1 0.3333 0.6667 0.2500
H1 0.0486 0.8932 0.7500
Se1 0.1051 0.3959 0.7500
O1 0.0124 0.1758 0.7500
O2 0.0350 0.5497 0.2500
O3 0.2189 0.4483 0.5275
```

Peak list (10 most intense, 2θ from 15° to 90°, by angle)
- (1 1 1), 23.92°, I 63
- (2 0 1), 26.35°, I 100
- (1 2 0), 29.07°, I 26
- (0 0 2), 29.27°, I 31
- (2 1 1), 32.64°, I 40
- (3 1 0), 40.00°, I 16
- (2 1 2), 41.73°, I 22
- (3 0 2), 44.74°, I 17
- (2 3 1), 51.23°, I 30
- (4 1 2), 60.37°, I 16

=====

NdSiHO4: calculated powder XRD pattern (a wavelength of 1.5418 Å), based on a cell relaxed with PBE.
Neutral-atom scattering factors, no anomalous dispersion.

Crystal structure
```
data_NdSiHO4
_chemical_formula_sum 'Nd2 Si2 H2 O8'
_space_group_name_H-M_alt 'P 1 c 1'
_space_group_IT_number 7
_space_group_name_Hall 'P -2yc'
_cell_length_a 4.3653
_cell_length_b 4.8633
_cell_length_c 8.7222
_cell_angle_alpha 90.00
_cell_angle_beta 119.31
_cell_angle_gamma 90.00
loop_
_atom_site_label
_atom_site_fract_x
_atom_site_fract_y
_atom_site_fract_z
Nd1 0.0000 0.0628 0.0000
Si1 0.6206 0.4571 0.2257
H1 0.2286 0.3744 0.3474
O1 0.3387 0.2926 0.2722
O2 0.5807 0.2728 0.0600
O3 0.5857 0.2114 0.7059
O4 0.9916 0.4093 0.4108
```

Peak list (10 most intense, 2θ from 15° to 90°, by angle)
- (0 1 0), 18.24°, I 26
- (0 0 2), 23.38°, I 45
- (1 0 -2), 23.63°, I 58
- (0 1 2), 29.82°, I 100
- (1 1 -2), 30.01°, I 33
- (1 0 2), 40.94°, I 20
- (2 0 -2), 41.38°, I 24
- (1 2 0), 44.20°, I 19
- (1 1 -4), 45.58°, I 25
- (0 0 4), 47.82°, I 19

=====

NdSiHO4: calculated powder XRD pattern (a wavelength of 1.5418 Å), based on a cell relaxed with PBE.
Neutral-atom scattering factors, no anomalous dispersion.

Crystal structure
```
data_NdSiHO4
_chemical_formula_sum 'Nd4 Si4 H4 O16'
_space_group_name_H-M_alt 'P 1 21/c 1'
_space_group_IT_number 14
_space_group_name_Hall '-P 2ybc'
_cell_length_a 7.0954
_cell_length_b 6.8319
_cell_length_c 6.9143
_cell_angle_alpha 90.00
_cell_angle_beta 104.41
_cell_angle_gamma 90.00
loop_
_atom_site_label
_atom_site_fract_x
_atom_site_fract_y
_atom_site_fract_z
Nd1 0.1414 0.1447 0.1789
Si1 0.2681 0.5927 0.1929
H1 0.4824 0.2192 0.6156
O1 0.1182 0.7251 0.6331
O2 0.1860 0.0393 0.8519
O3 0.2739 0.0578 0.5120
O4 0.4948 0.6719 0.2865
```

Peak list (10 most intense, 2θ from 15° to 90°, by angle)
- (1 1 0), 18.31°, I 64
- (1 1 -1), 20.66°, I 32
- (0 0 2), 26.61°, I 48
- (2 1 0), 29.13°, I 76
- (0 2 1), 29.35°, I 100
- (1 1 -2), 29.68°, I 39
- (1 0 2), 32.53°, I 36
- (1 2 1), 33.53°, I 33
- (1 3 -1), 42.95°, I 27
- (3 2 -1), 46.89°, I 36